# 1
The following is a calculated PXRD pattern of Hf2IrPtN. It was derived from the PBE geometry in Alexandria, using Cu Ka.

Structure:
```
Hf2IrPtN
1.0
5.1862 0.0000 0.0000
0.0000 5.1862 0.0000
0.0000 0.0000 3.6114
Hf Ir Pt N
2 1 1 1
Direct
0.0000 0.5000 0.0000
0.5000 0.0000 0.0000
0.0000 0.0000 0.5000
0.5000 0.5000 0.0000
0.5000 0.5000 0.5000
```

The 12 most intense peaks (2θ from 10° to 90°), in order of falling intensity:
2θ = 34.6°, I = 100; 2θ = 30.2°, I = 69; 2θ = 34.9°, I = 46; 2θ = 46.5°, I = 43; 2θ = 62.7°, I = 36; 2θ = 49.7°, I = 36; 2θ = 24.7°, I = 25; 2θ = 42.9°, I = 23; 2θ = 73.6°, I = 23; 2θ = 62.2°, I = 17; 2θ = 50.5°, I = 17; 2θ = 83.3°, I = 17


# 2
The following is a calculated PXRD pattern of Hf4NbIr. It was derived from the PBE geometry in Alexandria, using Cu Ka.

Structure:
```
Hf4NbIr
1.0
4.0540 -6.0876 0.0000
4.0540 6.0876 0.0000
-2.0997 0.0000 5.1223
Hf Nb Ir
8 2 2
Direct
0.0624 0.6985 0.9309
0.2083 0.3729 0.6601
0.3015 0.9376 0.5691
0.3729 0.2083 0.1601
0.6271 0.7917 0.8399
0.6985 0.0624 0.4309
0.7917 0.6271 0.3399
0.9376 0.3015 0.0691
0.3841 0.6159 0.2500
0.6159 0.3841 0.7500
0.0006 0.9994 0.7500
0.9994 0.0006 0.2500
```

The 12 most intense peaks (2θ from 10° to 90°), in order of falling intensity:
2θ = 34.2°, I = 100; 2θ = 37.7°, I = 73; 2θ = 38.9°, I = 51; 2θ = 39.4°, I = 51; 2θ = 13.9°, I = 41; 2θ = 38.1°, I = 41; 2θ = 37.9°, I = 39; 2θ = 37.2°, I = 29; 2θ = 42.5°, I = 27; 2θ = 33.2°, I = 26; 2θ = 67.7°, I = 23; 2θ = 40.4°, I = 21


# 3
The following is a calculated PXRD pattern of HfNb2Ir2. It was derived from the PBE geometry in Alexandria, using Cu Ka.

Structure:
```
HfNb2Ir2
1.0
7.6206 0.0000 0.0000
0.0000 7.6206 0.0000
0.0000 0.0000 3.0643
Hf Nb Ir
2 4 4
Direct
0.0000 0.0000 0.0000
0.5000 0.5000 0.0000
0.1692 0.3308 0.5000
0.3308 0.8308 0.5000
0.6692 0.1692 0.5000
0.8308 0.6692 0.5000
0.1300 0.6300 0.0000
0.3700 0.1300 0.0000
0.6300 0.8700 0.0000
0.8700 0.3700 0.0000
```

The 12 most intense peaks (2θ from 10° to 90°), in order of falling intensity:
2θ = 39.5°, I = 100; 2θ = 37.3°, I = 74; 2θ = 48.0°, I = 27; 2θ = 37.7°, I = 21; 2θ = 29.1°, I = 21; 2θ = 73.2°, I = 21; 2θ = 73.7°, I = 18; 2θ = 70.0°, I = 16; 2θ = 26.1°, I = 14; 2θ = 42.8°, I = 14; 2θ = 52.6°, I = 14; 2θ = 33.3°, I = 12